The following is a computed XRD peak list of K2ZrOsBr. It was derived from a PBE-relaxed structure, using Cu Kα (weighted mean of Kα1 and Kα2).
Intensities are scaled so that the largest is 100.

Largest 10 diffraction maxima, in order of rising 2θ, 2θ = 10–90°:
- hkl 1 0 0, 2θ = 13.4°, I 76
- hkl 1 1 0, 2θ = 19.0°, I 90
- hkl 1 0 1, 2θ = 23.7°, I 53
- hkl 2 0 0, 2θ = 26.9°, I 100
- hkl 2 1 0, 2θ = 30.2°, I 23
- hkl 2 1 1, 2θ = 36.2°, I 36
- hkl 2 2 0, 2θ = 38.5°, I 38
- hkl 3 1 0, 2θ = 43.2°, I 22
- hkl 2 0 2, 2θ = 48.5°, I 38
- hkl 2 2 2, 2θ = 56.3°, I 24

Structure:
```
data_K2ZrOsBr
_cell_length_a 6.6218
_cell_length_b 6.6218
_cell_length_c 4.5622
_cell_angle_alpha 90.00
_cell_angle_beta 90.00
_cell_angle_gamma 90.00
_space_group_name_H-M_alt 'P 4/m m m'
_space_group_IT_number 123
_space_group_name_Hall '-P 4 2'
loop_
_atom_site_label
_atom_site_fract_x
_atom_site_fract_y
_atom_site_fract_z
_atom_site_occupancy
K1 0.0000 0.5000 0.0000 1
Zr1 0.0000 0.0000 0.5000 1
Os1 0.5000 0.5000 0.0000 1
Br1 0.5000 0.5000 0.5000 1
```



The following is a computed XRD peak list of KPBr2. It was derived from a PBE-relaxed structure, using Cu Kα (weighted mean of Kα1 and Kα2).
Intensities are scaled so that the largest is 100.

Largest 10 diffraction maxima, in order of rising 2θ, 2θ = 10–90°:
- hkl 1 0 1, 2θ = 22.7°, I 48
- hkl 1 1 0, 2θ = 24.9°, I 100
- hkl 0 0 2, 2θ = 28.7°, I 26
- hkl 0 2 0, 2θ = 35.4°, I 19
- hkl 2 0 0, 2θ = 35.5°, I 19
- hkl 1 1 2, 2θ = 38.4°, I 44
- hkl 2 1 1, 2θ = 42.5°, I 19
- hkl 1 0 3, 2θ = 47.4°, I 13
- hkl 2 1 3, 2θ = 60.6°, I 13
- hkl 1 3 2, 2θ = 65.5°, I 15

Structure:
```
data_KPBr2
_cell_length_a 5.0513
_cell_length_b 5.0706
_cell_length_c 6.2139
_cell_angle_alpha 90.00
_cell_angle_beta 90.00
_cell_angle_gamma 90.00
_space_group_name_H-M_alt 'P m m 2'
_space_group_IT_number 25
_space_group_name_Hall 'P 2 -2'
loop_
_atom_site_label
_atom_site_fract_x
_atom_site_fract_y
_atom_site_fract_z
_atom_site_occupancy
K1 0.0000 0.0000 0.0000 1
P1 0.5000 0.5000 0.3509 1
Br1 0.0000 0.0000 0.5005 1
Br2 0.5000 0.5000 0.9834 1
```



The following is a computed XRD peak list of K2P2Br. It was derived from a PBE-relaxed structure, using Cu Kα (weighted mean of Kα1 and Kα2).
Intensities are scaled so that the largest is 100.

Largest 10 diffraction maxima, in order of rising 2θ, 2θ = 10–90°:
- hkl 0 0 4, 2θ = 18.3°, I 24
- hkl 1 0 3, 2θ = 28.2°, I 85
- hkl 1 0 5, 2θ = 33.8°, I 100
- hkl 1 1 2, 2θ = 36.2°, I 83
- hkl 0 0 8, 2θ = 37.1°, I 27
- hkl 2 0 0, 2θ = 50.3°, I 29
- hkl 2 1 3, 2θ = 58.6°, I 19
- hkl 1 1 10, 2θ = 59.7°, I 31
- hkl 2 1 5, 2θ = 62.0°, I 31
- hkl 2 0 8, 2θ = 64.1°, I 20

Structure:
```
data_K2P2Br
_cell_length_a 3.6293
_cell_length_b 3.6293
_cell_length_c 19.4026
_cell_angle_alpha 90.00
_cell_angle_beta 90.00
_cell_angle_gamma 90.00
_space_group_name_H-M_alt 'I 4/m m m'
_space_group_IT_number 139
_space_group_name_Hall '-I 4 2'
loop_
_atom_site_label
_atom_site_fract_x
_atom_site_fract_y
_atom_site_fract_z
_atom_site_occupancy
K1 0.0000 0.0000 0.1063 1
P1 0.0000 0.5000 0.2500 1
Br1 0.0000 0.0000 0.5000 1
```



The following is a computed XRD peak list of KPBr. It was derived from a PBE-relaxed structure, using Cu Kα (weighted mean of Kα1 and Kα2).
Intensities are scaled so that the largest is 100.

Largest 10 diffraction maxima, in order of rising 2θ, 2θ = 10–90°:
- hkl 0 0 2, 2θ = 16.4°, I 53
- hkl 0 1 1, 2θ = 18.6°, I 55
- hkl 1 0 1, 2θ = 26.6°, I 23
- hkl 0 1 3, 2θ = 29.9°, I 51
- hkl 1 1 0, 2θ = 30.4°, I 100
- hkl 0 2 0, 2θ = 33.7°, I 38
- hkl 1 1 2, 2θ = 34.8°, I 31
- hkl 1 0 3, 2θ = 35.7°, I 31
- hkl 0 1 5, 2θ = 45.3°, I 25
- hkl 1 2 5, 2θ = 61.2°, I 31

Structure:
```
data_KPBr
_cell_length_a 3.5191
_cell_length_b 5.3243
_cell_length_c 10.8093
_cell_angle_alpha 90.00
_cell_angle_beta 90.00
_cell_angle_gamma 90.00
_space_group_name_H-M_alt 'I m m 2'
_space_group_IT_number 44
_space_group_name_Hall 'I 2 -2'
loop_
_atom_site_label
_atom_site_fract_x
_atom_site_fract_y
_atom_site_fract_z
_atom_site_occupancy
K1 0.0000 0.0000 0.0000 1
P1 0.0000 0.0000 0.5793 1
Br1 0.0000 0.0000 0.3655 1
```



The following is a computed XRD peak list of KPaBr6. It was derived from a PBE-relaxed structure, using Cu Kα (weighted mean of Kα1 and Kα2).
Intensities are scaled so that the largest is 100.

Largest 10 diffraction maxima, in order of rising 2θ, 2θ = 10–90°:
- hkl 0 0 1, 2θ = 12.5°, I 53
- hkl 1 1 0, 2θ = 13.5°, I 83
- hkl 0 2 0, 2θ = 14.3°, I 53
- hkl 1 1 -1, 2θ = 16.2°, I 67
- hkl 0 2 1, 2θ = 19.0°, I 33
- hkl 1 1 1, 2θ = 20.5°, I 32
- hkl 1 3 1, 2θ = 29.0°, I 100
- hkl 2 0 -2, 2θ = 29.4°, I 38
- hkl 3 3 0, 2θ = 41.4°, I 32
- hkl 1 3 -3, 2θ = 43.0°, I 28

Structure:
```
data_KPaBr6
_cell_length_a 7.9979
_cell_length_b 12.3944
_cell_length_c 7.3371
_cell_angle_alpha 90.00
_cell_angle_beta 105.46
_cell_angle_gamma 90.00
_space_group_name_H-M_alt 'C 1 2/m 1'
_space_group_IT_number 12
_space_group_name_Hall '-C 2y'
loop_
_atom_site_label
_atom_site_fract_x
_atom_site_fract_y
_atom_site_fract_z
_atom_site_occupancy
K1 0.0000 0.0000 0.0000 1
Pa1 0.0000 0.5000 0.5000 1
Br1 0.1757 0.3448 0.7389 1
Br2 0.2464 0.0000 0.6835 1
```



The following is a computed XRD peak list of K2PaBr7. It was derived from a PBE-relaxed structure, using Cu Kα (weighted mean of Kα1 and Kα2).
Intensities are scaled so that the largest is 100.

Largest 10 diffraction maxima, in order of rising 2θ, 2θ = 10–90°:
- hkl 1 1 0, 2θ = 11.8°, I 100
- hkl 1 1 -1, 2θ = 12.2°, I 56
- hkl 2 0 0, 2θ = 12.6°, I 47
- hkl 2 0 -2, 2θ = 14.2°, I 56
- hkl 0 0 2, 2θ = 18.3°, I 40
- hkl 5 1 -1, 2θ = 28.7°, I 40
- hkl 2 0 -4, 2θ = 30.5°, I 35
- hkl 1 3 0, 2θ = 30.9°, I 46
- hkl 0 2 3, 2θ = 34.3°, I 33
- hkl 7 1 -3, 2θ = 36.1°, I 37

Structure:
```
data_K2PaBr7
_cell_length_a 18.1484
_cell_length_b 8.8801
_cell_length_c 12.5049
_cell_angle_alpha 90.00
_cell_angle_beta 129.17
_cell_angle_gamma 90.00
_space_group_name_H-M_alt 'C 1 2/c 1'
_space_group_IT_number 15
_space_group_name_Hall '-C 2yc'
loop_
_atom_site_label
_atom_site_fract_x
_atom_site_fract_y
_atom_site_fract_z
_atom_site_occupancy
K1 0.1937 0.0563 0.2967 1
Pa1 0.0000 0.3843 0.7500 1
Br1 0.0000 0.0639 0.7500 1
Br2 0.0860 0.3325 0.0237 1
Br3 0.1184 0.3542 0.3835 1
Br4 0.1644 0.3184 0.7826 1
```



The following is a computed XRD peak list of K3PaBr7. It was derived from a PBE-relaxed structure, using Cu Kα (weighted mean of Kα1 and Kα2).
Intensities are scaled so that the largest is 100.

Largest 10 diffraction maxima, in order of rising 2θ, 2θ = 10–90°:
- hkl 1 1 0, 2θ = 12.7°, I 100
- hkl 1 1 -1, 2θ = 13.4°, I 51
- hkl 2 0 -1, 2θ = 15.6°, I 35
- hkl 0 2 1, 2θ = 20.9°, I 32
- hkl 2 0 -2, 2θ = 21.1°, I 21
- hkl 3 1 -2, 2θ = 26.4°, I 26
- hkl 4 0 -2, 2θ = 31.6°, I 26
- hkl 1 3 1, 2θ = 32.2°, I 31
- hkl 2 2 1, 2θ = 33.3°, I 59
- hkl 0 4 0, 2θ = 33.6°, I 22

Structure:
```
data_K3PaBr7
_cell_length_a 11.3859
_cell_length_b 10.6719
_cell_length_c 8.6152
_cell_angle_alpha 90.00
_cell_angle_beta 125.62
_cell_angle_gamma 90.00
_space_group_name_H-M_alt 'C 1 m 1'
_space_group_IT_number 8
_space_group_name_Hall 'C -2y'
loop_
_atom_site_label
_atom_site_fract_x
_atom_site_fract_y
_atom_site_fract_z
_atom_site_occupancy
K1 0.0000 0.0000 0.0000 1
K2 0.0013 0.2727 0.5787 1
Pa1 0.0522 0.5000 0.1336 1
Br1 0.1229 0.2480 0.2976 1
Br2 0.1957 0.5000 0.9520 1
Br3 0.3543 0.1679 0.8273 1
Br4 0.3574 0.5000 0.5143 1
Br5 0.3676 0.0000 0.2555 1
```



The following is a computed XRD peak list of K2Pb2Br7. It was derived from a PBE-relaxed structure, using Cu Kα (weighted mean of Kα1 and Kα2).
Intensities are scaled so that the largest is 100.

Largest 10 diffraction maxima, in order of rising 2θ, 2θ = 10–90°:
- hkl 0 2 0, 2θ = 11.3°, I 78
- hkl 0 0 2, 2θ = 16.7°, I 46
- hkl 1 0 1, 2θ = 21.3°, I 39
- hkl 1 1 2, 2θ = 26.5°, I 92
- hkl 1 3 2, 2θ = 31.1°, I 59
- hkl 1 4 1, 2θ = 31.3°, I 100
- hkl 0 5 3, 2θ = 38.3°, I 49
- hkl 2 0 0, 2θ = 39.8°, I 73
- hkl 1 6 1, 2θ = 40.7°, I 36
- hkl 2 5 3, 2θ = 56.4°, I 33

Structure:
```
data_K2Pb2Br7
_cell_length_a 4.5280
_cell_length_b 15.7225
_cell_length_c 10.6147
_cell_angle_alpha 90.00
_cell_angle_beta 90.00
_cell_angle_gamma 90.00
_space_group_name_H-M_alt 'I m m 2'
_space_group_IT_number 44
_space_group_name_Hall 'I 2 -2'
loop_
_atom_site_label
_atom_site_fract_x
_atom_site_fract_y
_atom_site_fract_z
_atom_site_occupancy
K1 0.0000 0.2222 0.0000 1
Pb1 0.0000 0.0000 0.6889 1
Pb2 0.0000 0.5000 0.7807 1
Br1 0.0000 0.0000 0.0965 1
Br2 0.0000 0.1135 0.4724 1
Br3 0.0000 0.3135 0.7157 1
Br4 0.0000 0.3811 0.2802 1
```



The following is a computed XRD peak list of KRbPb2Br. It was derived from a PBE-relaxed structure, using Cu Kα (weighted mean of Kα1 and Kα2).
Intensities are scaled so that the largest is 100.

Largest 10 diffraction maxima, in order of rising 2θ, 2θ = 10–90°:
- hkl 0 0 1, 2θ = 10.0°, I 96
- hkl 0 0 2, 2θ = 20.1°, I 62
- hkl 1 1 1, 2θ = 22.2°, I 100
- hkl 2 0 0, 2θ = 28.1°, I 55
- hkl 2 0 1, 2θ = 29.9°, I 34
- hkl 2 0 2, 2θ = 34.7°, I 63
- hkl 1 1 3, 2θ = 36.4°, I 29
- hkl 2 2 2, 2θ = 45.2°, I 30
- hkl 3 1 1, 2θ = 46.3°, I 29
- hkl 2 0 4, 2θ = 50.3°, I 22

Structure:
```
data_KRbPb2Br
_cell_length_a 6.3600
_cell_length_b 6.3600
_cell_length_c 8.8439
_cell_angle_alpha 90.00
_cell_angle_beta 90.00
_cell_angle_gamma 90.00
_space_group_name_H-M_alt 'P 4/m m m'
_space_group_IT_number 123
_space_group_name_Hall '-P 4 2'
loop_
_atom_site_label
_atom_site_fract_x
_atom_site_fract_y
_atom_site_fract_z
_atom_site_occupancy
K1 0.0000 0.0000 0.0000 1
Rb1 0.0000 0.0000 0.5000 1
Pb1 0.0000 0.5000 0.5000 1
Br1 0.5000 0.5000 0.0000 1
```



The following is a computed XRD peak list of KPbSBr. It was derived from a PBE-relaxed structure, using Cu Kα (weighted mean of Kα1 and Kα2).
Intensities are scaled so that the largest is 100.

Largest 10 diffraction maxima, in order of rising 2θ, 2θ = 10–90°:
- hkl 0 0 3, 2θ = 11.0°, I 80
- hkl 1 0 1, 2θ = 24.3°, I 74
- hkl 1 0 4, 2θ = 28.2°, I 71
- hkl 0 1 5, 2θ = 30.4°, I 100
- hkl 1 0 7, 2θ = 35.5°, I 25
- hkl 0 1 8, 2θ = 38.4°, I 31
- hkl 1 1 0, 2θ = 42.3°, I 50
- hkl 0 1 11, 2θ = 48.1°, I 20
- hkl 2 0 5, 2θ = 52.9°, I 21
- hkl 1 1 9, 2θ = 54.8°, I 20

Structure:
```
data_KPbSBr
_cell_length_a 4.2777
_cell_length_b 4.2777
_cell_length_c 24.2349
_cell_angle_alpha 90.00
_cell_angle_beta 90.00
_cell_angle_gamma 120.00
_space_group_name_H-M_alt 'R 3 m'
_space_group_IT_number 160
_space_group_name_Hall 'R 3 -2"'
loop_
_atom_site_label
_atom_site_fract_x
_atom_site_fract_y
_atom_site_fract_z
_atom_site_occupancy
K1 0.0000 0.0000 0.0000 1
Pb1 0.0000 0.0000 0.1853 1
S1 0.0000 0.0000 0.5791 1
Br1 0.0000 0.0000 0.4205 1
```



The following is a computed XRD peak list of K2SbPbBr8. It was derived from a PBE-relaxed structure, using Cu Kα (weighted mean of Kα1 and Kα2).
Intensities are scaled so that the largest is 100.

Largest 10 diffraction maxima, in order of rising 2θ, 2θ = 10–90°:
- hkl 0 1 0, 2θ = 11.7°, I 100
- hkl 1 1 0, 2θ = 16.3°, I 62
- hkl 0 1 -2, 2θ = 22.7°, I 47
- hkl 1 1 -2, 2θ = 25.5°, I 84
- hkl 2 -1 0, 2θ = 29.7°, I 54
- hkl 1 2 2, 2θ = 32.2°, I 63
- hkl 1 2 -2, 2θ = 32.2°, I 59
- hkl 0 0 4, 2θ = 39.5°, I 42
- hkl 3 0 -2, 2θ = 44.0°, I 40
- hkl -1 3 2, 2θ = 44.4°, I 62

Structure:
```
data_K2SbPbBr8
_cell_length_a 6.9643
_cell_length_b 7.6185
_cell_length_c 9.1323
_cell_angle_alpha 89.96
_cell_angle_beta 89.94
_cell_angle_gamma 83.12
_space_group_name_H-M_alt 'P -1'
_space_group_IT_number 2
_space_group_name_Hall '-P 1'
loop_
_atom_site_label
_atom_site_fract_x
_atom_site_fract_y
_atom_site_fract_z
_atom_site_occupancy
K1 0.0006 0.4993 0.2469 1
Sb1 0.5000 0.0000 0.0000 1
Pb1 0.5000 0.0000 0.5000 1
Br1 0.1310 0.2277 0.5006 1
Br2 0.1506 0.1982 0.9995 1
Br3 0.3764 0.7908 0.2207 1
Br4 0.3774 0.7901 0.7796 1
```



The following is a computed XRD peak list of KTiPb2Br8. It was derived from a PBE-relaxed structure, using Cu Kα (weighted mean of Kα1 and Kα2).
Intensities are scaled so that the largest is 100.

Largest 10 diffraction maxima, in order of rising 2θ, 2θ = 10–90°:
- hkl 0 1 0, 2θ = 12.5°, I 31
- hkl 1 1 0, 2θ = 18.0°, I 48
- hkl 1 -1 0, 2θ = 18.5°, I 51
- hkl 1 0 -2, 2θ = 23.8°, I 45
- hkl 1 1 -2, 2θ = 26.8°, I 100
- hkl 1 -2 0, 2θ = 28.9°, I 54
- hkl 2 1 2, 2θ = 35.5°, I 38
- hkl -2 1 2, 2θ = 36.0°, I 56
- hkl 0 0 4, 2θ = 39.9°, I 23
- hkl 0 3 -2, 2θ = 43.3°, I 42

Structure:
```
data_KTiPb2Br8
_cell_length_a 6.6913
_cell_length_b 7.0673
_cell_length_c 9.0383
_cell_angle_alpha 90.00
_cell_angle_beta 89.91
_cell_angle_gamma 88.58
_space_group_name_H-M_alt 'P -1'
_space_group_IT_number 2
_space_group_name_Hall '-P 1'
loop_
_atom_site_label
_atom_site_fract_x
_atom_site_fract_y
_atom_site_fract_z
_atom_site_occupancy
K1 0.0000 0.0000 0.0000 1
Ti1 0.0000 0.0000 0.5000 1
Pb1 0.4996 0.5001 0.2579 1
Br1 0.2165 0.3064 0.5004 1
Br2 0.2302 0.8553 0.7043 1
Br3 0.2312 0.8563 0.2952 1
Br4 0.2673 0.3684 0.0001 1
```